Simulated X-ray diffraction stick pattern
Compound: CaTb12Er7
Radiation: λ = 1.5418 Å (Cu Kα)
Structure: a cell relaxed with GGA-PBE
Neutral-atom scattering factors, no anomalous dispersion.

Most intense lines, 10 to 80 degrees two-theta, by angle:
- 5.685 Å, intensity 320
- 3.282 Å, intensity 630
- 2.843 Å, intensity 1000
- 2.010 Å, intensity 716
- 1.714 Å, intensity 253
- 1.271 Å, intensity 287

Crystal structure
```
20
Lattice="-5.685 5.685 5.685 5.685 -5.685 5.685 5.685 5.685 -5.685" Properties=species:S:1:pos:R:3 pbc="T T T"
Ca 0.000 0.000 0.000
Tb 5.685 2.703 -2.703
Tb 5.685 -2.703 2.703
Tb 2.703 5.685 -2.703
Tb 2.982 2.982 0.000
Tb 2.982 0.000 2.982
Tb 2.703 -2.703 5.685
Tb 5.685 2.703 2.703
Tb 0.000 2.982 2.982
Tb -2.703 5.685 2.703
Tb -2.703 2.703 5.685
Tb 2.703 5.685 2.703
Tb 2.703 2.703 5.685
Er 2.843 2.843 -2.843
Er 2.843 -2.843 2.843
Er 5.685 0.000 0.000
Er -2.843 2.843 2.843
Er 0.000 5.685 0.000
Er 0.000 0.000 5.685
Er 2.843 2.843 2.843
```